[1]
This entry pairs a crystal structure of DyThHg2 with its computed PXRD pattern. Radiation: Cu Kα X-rays. Structure: a DFT-relaxed cell (GGA-PBE, Alexandria).
Neutral-atom scattering factors, no anomalous dispersion.

Main lines, in order of falling intensity (2θ = 10–80°):
| index | 2θ (°) | Rel. int. |
| --- | --- | --- |
| 1 0 4 | 30.77 | 100 |
| 0 1 8 | 37.47 | 58 |
| 1 1 0 | 49.96 | 27 |
| 1 1 12 | 63.48 | 25 |
| 0 0 12 | 36.55 | 20 |
| 1 0 16 | 57.89 | 17 |
| 0 2 4 | 59.83 | 16 |
| 2 0 8 | 64.09 | 12 |

Unit cell a=3.6509 b=3.6509 c=29.4981 alpha=90.00 beta=90.00 gamma=120.00
Space group R-3m (No. 166, hexagonal axes)
Asymmetric unit:
Dy (0.0000, 0.0000, 0.0000) x3
Th (0.0000, 0.0000, 0.5000) x3
Hg (0.0000, 0.0000, 0.2546) x6



[2]
This entry pairs a crystal structure of Dy3TlHg6 with its computed PXRD pattern. Radiation: Cu Kα X-rays. Structure: a DFT-relaxed cell (GGA-PBE, Alexandria).
Neutral-atom scattering factors, no anomalous dispersion.

Main lines, in order of falling intensity (2θ = 10–80°):
| index | 2θ (°) | Rel. int. |
| --- | --- | --- |
| 3 1 -2 | 33.20 | 100 |
| 2 1 2 | 35.24 | 95 |
| 0 2 0 | 36.59 | 73 |
| 1 1 -4 | 37.32 | 64 |
| 2 1 -3 | 31.84 | 53 |
| 2 0 2 | 30.00 | 32 |
| 1 0 -4 | 32.38 | 24 |
| 4 1 -1 | 40.79 | 19 |

Unit cell a=10.011 b=4.911 c=11.103 alpha=90.00 beta=111.04 gamma=90.00
Space group P2_1/m (No. 11)
Asymmetric unit:
Dy (0.028, 0.250, 0.235) x2
Dy (0.284, 0.250, 0.053) x2
Dy (0.341, 0.750, 0.344) x2
Tl (0.120, 0.750, 0.532) x2
Hg (0.085, 0.750, 0.080) x2
Hg (0.143, 0.250, 0.739) x2
Hg (0.300, 0.250, 0.496) x2
Hg (0.314, 0.750, 0.884) x2
Hg (0.474, 0.750, 0.663) x2
Hg (0.484, 0.250, 0.840) x2



[3]
This entry pairs a crystal structure of DyTl3Hg12 with its computed PXRD pattern. Radiation: Cu Kα X-rays. Structure: a DFT-relaxed cell (GGA-PBE, Alexandria).
Neutral-atom scattering factors, no anomalous dispersion.

Main lines, in order of falling intensity (2θ = 10–80°):
| index | 2θ (°) | Rel. int. |
| --- | --- | --- |
| 1 1 4 | 32.69 | 100 |
| 0 0 8 | 34.54 | 19 |
| 0 2 0 | 37.44 | 18 |
| 1 3 4 | 64.56 | 15 |
| 2 0 0 | 41.52 | 14 |
| 0 2 8 | 51.85 | 12 |
| 1 1 12 | 60.71 | 12 |
| 3 1 4 | 70.17 | 11 |

Unit cell a=4.350 b=4.804 c=20.777 alpha=90.00 beta=90.00 gamma=90.00
Space group Pmmm (No. 47)
Asymmetric unit:
Dy (0.000, 0.000, 0.000) x1
Tl (0.000, 0.000, 0.240) x2
Tl (0.000, 0.000, 0.500) x1
Hg (0.000, 0.500, 0.114) x2
Hg (0.000, 0.500, 0.369) x2
Hg (0.500, 0.000, 0.114) x2
Hg (0.500, 0.000, 0.368) x2
Hg (0.500, 0.500, 0.000) x1
Hg (0.500, 0.500, 0.239) x2
Hg (0.500, 0.500, 0.500) x1



[4]
This entry pairs a crystal structure of Dy4Tl5Hg2 with its computed PXRD pattern. Radiation: Cu Kα X-rays. Structure: a DFT-relaxed cell (GGA-PBE, Alexandria).
Neutral-atom scattering factors, no anomalous dispersion.

Main lines, in order of falling intensity (2θ = 10–80°):
| index | 2θ (°) | Rel. int. |
| --- | --- | --- |
| 2 1 0 | 32.58 | 100 |
| 1 1 -2 | 32.30 | 42 |
| 3 0 2 | 37.33 | 39 |
| 0 0 4 | 36.47 | 23 |
| 3 0 -2 | 36.73 | 21 |
| 3 0 0 | 32.10 | 19 |
| 0 2 0 | 50.17 | 19 |
| 0 1 0 | 24.48 | 18 |

Unit cell a=8.367 b=3.637 c=9.856 alpha=90.00 beta=91.07 gamma=90.00
Space group P2/m (No. 10)
Asymmetric unit:
Dy (0.218, 0.000, 0.363) x2
Dy (0.234, 0.000, 0.897) x2
Tl (0.134, 0.500, 0.626) x2
Tl (0.457, 0.500, 0.161) x2
Tl (0.500, 0.500, 0.500) x1
Hg (0.087, 0.500, 0.129) x2